Structure and calculated powder diffractogram of PaV2SiO8 (a structure optimized by DFT (PBE+U); Cu Kα X-rays).
No peak broadening, texture or thermal motion is included.

The 10 most intense peaks (2θ from 10° to 90°), in order of rising 2θ:
2θ 14.25, d 6.215, I 37.8
2θ 19.35, d 4.588, I 45.3
2θ 24.11, d 3.691, I 100.0
2θ 27.03, d 3.299, I 60.6
2θ 27.95, d 3.192, I 56.1
2θ 34.87, d 2.573, I 81.8
2θ 40.51, d 2.227, I 23.0
2θ 46.02, d 1.972, I 23.0
2θ 52.98, d 1.728, I 36.1
2θ 54.05, d 1.697, I 33.7

Atomic structure:
Unit cell a=4.591 b=4.591 c=6.215 alpha=90.00 beta=90.00 gamma=91.90
Element x y z (fractional)
Pa 0.000 0.000 0.000
V 0.500 0.500 0.295
V 0.500 0.500 0.705
Si 0.000 0.000 0.500
O 0.195 0.195 0.295
O 0.195 0.195 0.705
O 0.278 0.722 0.500
O 0.318 0.682 0.000
O 0.682 0.318 0.000
O 0.722 0.278 0.500
O 0.805 0.805 0.295
O 0.805 0.805 0.705